(1)
For TbCe3Pu2Te6, a cell relaxed with PBE gives the computed powder XRD pattern in this record (CuKα).
Kinematic intensities with the Lorentz-polarization factor, no thermal factor.

a b c (Å): 5.419 7.669 16.250
angles (deg): 90.00 90.00 90.00
Space group Immm (No. 71)
Asymmetric unit:
Tb 0.000 0.000 0.000 x2
Ce 0.000 0.500 0.000 x2
Ce 0.000 0.500 0.330 x4
Pu 0.000 0.000 0.334 x4
Te 0.000 0.248 0.166 x8
Te 0.000 0.253 0.500 x4

Peak list (12 most intense, 10° ≤ 2θ ≤ 90°, in order of falling intensity)
33.1 deg, I 100, hkl 2 0 0
59.0 deg, I 38, hkl 3 2 3
47.4 deg, I 18, hkl 2 0 6
79.0 deg, I 16, hkl 4 0 6
69.4 deg, I 12, hkl 4 0 0
88.4 deg, I 4, hkl 4 4 0
23.2 deg, I 3, hkl 0 2 0
20.1 deg, I 3, hkl 0 1 3
39.0 deg, I 2, hkl 1 1 6
53.5 deg, I 2, hkl 1 4 3
40.8 deg, I 1, hkl 2 2 0
52.0 deg, I 1, hkl 0 1 9

---

(2)
For Li7OsO6, a cell relaxed with PBE gives the computed powder XRD pattern in this record (CuKα).
Kinematic intensities with the Lorentz-polarization factor, no thermal factor.

a b c (Å): 5.365 5.457 5.846
angles (deg): 90.98 115.93 119.29
Space group P1 (No. 1)
Asymmetric unit:
Li 0.000 0.000 0.000 x1
Li 0.045 0.854 0.427 x1
Li 0.149 0.254 0.726 x1
Li 0.454 0.751 0.013 x1
Li 0.590 0.126 0.379 x1
Li 0.686 0.354 0.007 x1
Li 0.897 0.597 0.741 x1
Os 0.305 0.504 0.385 x1
O 0.141 0.726 0.143 x1
O 0.162 0.587 0.621 x1
O 0.414 0.394 0.124 x1
O 0.453 0.277 0.612 x1
O 0.767 0.863 0.603 x1
O 0.851 0.130 0.182 x1

Peak list (12 most intense, 10° ≤ 2θ ≤ 90°, in order of falling intensity)
22.1 deg, I 100, hkl 1 0 0
17.7 deg, I 89, hkl 0 0 1
19.5 deg, I 71, hkl 0 1 0
19.8 deg, I 66, hkl 1 -1 0
20.0 deg, I 62, hkl 1 0 -1
22.6 deg, I 52, hkl -1 1 1
30.2 deg, I 38, hkl 1 -1 1
37.4 deg, I 27, hkl 1 -2 1
37.1 deg, I 27, hkl 1 1 0
38.5 deg, I 23, hkl -2 1 2
30.9 deg, I 22, hkl 1 0 -2
32.8 deg, I 21, hkl 1 1 -1

---

(3)
For AcMgPt4, a cell relaxed with PBE gives the computed powder XRD pattern in this record (CuKα).
Kinematic intensities with the Lorentz-polarization factor, no thermal factor.

a b c (Å): 7.786 7.786 7.786
angles (deg): 90.00 90.00 90.00
Space group F-43m (No. 216)
Asymmetric unit:
Ac 0.000 0.000 0.000 x4
Mg 0.250 0.250 0.750 x4
Pt 0.124 0.124 0.376 x16

Peak list (12 most intense, 10° ≤ 2θ ≤ 90°, in order of falling intensity)
38.3 deg, I 100, hkl 3 1 1
40.1 deg, I 56, hkl 2 2 2
61.9 deg, I 34, hkl 5 1 1
19.8 deg, I 32, hkl 1 1 1
68.1 deg, I 30, hkl 4 4 0
82.1 deg, I 22, hkl 6 2 2
32.5 deg, I 14, hkl 2 2 0
81.0 deg, I 12, hkl 5 3 3
46.7 deg, I 12, hkl 4 0 0
22.8 deg, I 12, hkl 2 0 0
51.1 deg, I 9, hkl 3 3 1
71.7 deg, I 6, hkl 5 3 1